The following is a theoretical X-ray diffraction stick pattern of Co5SnO12. It was derived from a GGA+U-relaxed structure, using Cu Kα X-rays.

Top 10 peaks for 15 to 90 degrees two-theta, in order of falling intensity:
| 2θ/deg | intensity | index |
| --- | --- | --- |
| 17.66 | 100.0 | 0 0 2 |
| 36.66 | 30.7 | 1 3 1 |
| 44.87 | 15.2 | 1 3 -3 |
| 44.99 | 13.2 | 1 3 3 |
| 39.91 | 12.4 | 2 0 -2 |
| 58.63 | 8.1 | 1 3 -5 |
| 35.54 | 7.7 | 2 0 0 |
| 58.78 | 7.4 | 1 3 5 |
| 40.04 | 7.2 | 2 0 2 |
| 51.42 | 6.8 | 2 0 4 |

Atomic structure:
a b c (Å): 5.0517 8.7599 10.0433
angles (deg): 90.00 90.28 90.00
Space group C2/m (No. 12)
Symmetry-distinct sites (fractional):
Co (0.0000, 0.0000, 0.0000) [2 per cell]
Co (0.0000, 0.1667, 0.5000) [4 per cell]
Co (0.0000, 0.3333, 0.0000) [4 per cell]
Sn (0.0000, 0.5000, 0.5000) [2 per cell]
O (0.1408, 0.0000, 0.5985) [4 per cell]
O (0.1659, 0.1666, 0.9100) [8 per cell]
O (0.1655, 0.5000, 0.9097) [4 per cell]
O (0.1809, 0.3200, 0.5985) [8 per cell]